Structure and simulated powder diffraction line list of RbPr2CuO4 (the GGA-PBE geometry in Alexandria; λ = 1.5418 Å (Cu Kα)).
Neutral-atom scattering factors, no anomalous dispersion.

Top 12 peaks for 2θ = 10–90°, by angle:
2θ = 16.06°, I 38; 2θ = 26.19°, I 100; 2θ = 28.87°, I 57; 2θ = 29.38°, I 91; 2θ = 33.58°, I 58; 2θ = 33.73°, I 38; 2θ = 35.98°, I 91; 2θ = 39.64°, I 35; 2θ = 49.82°, I 44; 2θ = 49.92°, I 29; 2θ = 50.04°, I 36; 2θ = 70.61°, I 29

Cell and atoms:
```
data_RbPr2CuO4
_chemical_formula_sum 'Rb2 Pr4 Cu2 O8'
_symmetry_space_group_name_H-M 'P 1'
_symmetry_Int_Tables_number 1
_cell_length_a 6.450
_cell_length_b 6.450
_cell_length_c 12.227
_cell_angle_alpha 90.00
_cell_angle_beta 90.00
_cell_angle_gamma 147.09
loop_
_symmetry_equiv_pos_as_xyz
'x,y,z'
loop_
_atom_site_label
_atom_site_type_symbol
_atom_site_fract_x
_atom_site_fract_y
_atom_site_fract_z
Rb1 Rb 0.098 0.902 0.750
Rb2 Rb 0.902 0.098 0.250
Pr1 Pr 0.368 0.632 0.560
Pr2 Pr 0.368 0.632 0.940
Pr3 Pr 0.632 0.368 0.060
Pr4 Pr 0.632 0.368 0.440
Cu1 Cu 0.178 0.822 0.250
Cu2 Cu 0.822 0.178 0.750
O1 O 0.000 0.000 0.000
O2 O 0.000 0.000 0.500
O3 O 0.252 0.748 0.100
O4 O 0.252 0.748 0.400
O5 O 0.415 0.585 0.750
O6 O 0.585 0.415 0.250
O7 O 0.748 0.252 0.600
O8 O 0.748 0.252 0.900
```